No. 1
Starting from DFT lattice parameters and positions (PBE+U), the powder X-ray diffraction pattern of NaSrEuMnO6 was computed for Cu Kα, 1.54184 Å.
Peak positions follow from Bragg's law for the DFT cell and can differ from measured ones.

Main lines, low angle first (10 to 80 degrees two-theta):
2θ = 19.2°, I = 16
2θ = 22.2°, I = 21
2θ = 31.5°, I = 100
2θ = 38.9°, I = 29
2θ = 45.2°, I = 37
2θ = 50.9°, I = 11
2θ = 56.1°, I = 38
2θ = 65.8°, I = 21
2θ = 74.8°, I = 17
2θ = 79.2°, I = 9

```
data_NaSrEuMnO6
_chemical_formula_sum 'Na1 Sr1 Eu1 Mn1 O6'
_space_group_name_H-M_alt 'P 1'
_space_group_IT_number 1
_space_group_name_Hall 'P 1'
_cell_length_a 5.675
_cell_length_b 5.675
_cell_length_c 5.675
_cell_angle_alpha 60.00
_cell_angle_beta 60.00
_cell_angle_gamma 60.00
loop_
_atom_site_label
_atom_site_type_symbol
_atom_site_fract_x
_atom_site_fract_y
_atom_site_fract_z
_atom_site_occupancy
Na1 Na 0.000 0.000 0.000 1
Sr1 Sr 0.750 0.750 0.750 1
Eu1 Eu 0.250 0.250 0.250 1
Mn1 Mn 0.500 0.500 0.500 1
O1 O 0.267 0.267 0.733 1
O2 O 0.267 0.733 0.267 1
O3 O 0.267 0.733 0.733 1
O4 O 0.733 0.267 0.267 1
O5 O 0.733 0.267 0.733 1
O6 O 0.733 0.733 0.267 1
```

No. 2
Starting from DFT lattice parameters and positions (PBE+U), the powder X-ray diffraction pattern of Eu8Mn3Nb5O28 was computed for Cu Kα, 1.54184 Å.
Peak positions follow from Bragg's law for the DFT cell and can differ from measured ones.

Main lines, low angle first (10 to 80 degrees two-theta):
2θ = 28.6°, I = 100
2θ = 30.8°, I = 26
2θ = 33.7°, I = 26
2θ = 34.0°, I = 13
2θ = 46.8°, I = 10
2θ = 47.1°, I = 22
2θ = 49.9°, I = 9
2θ = 50.1°, I = 12
2θ = 55.8°, I = 10
2θ = 57.1°, I = 14

```
data_Eu8Mn3Nb5O28
_chemical_formula_sum 'Eu8 Mn3 Nb5 O28'
_space_group_name_H-M_alt 'P 1'
_space_group_IT_number 1
_space_group_name_Hall 'P 1'
_cell_length_a 7.720
_cell_length_b 7.720
_cell_length_c 11.833
_cell_angle_alpha 99.74
_cell_angle_beta 99.74
_cell_angle_gamma 60.37
loop_
_atom_site_label
_atom_site_type_symbol
_atom_site_fract_x
_atom_site_fract_y
_atom_site_fract_z
_atom_site_occupancy
Eu1 Eu 0.115 0.115 0.216 1
Eu2 Eu 0.122 0.621 0.240 1
Eu3 Eu 0.376 0.370 0.751 1
Eu4 Eu 0.379 0.878 0.760 1
Eu5 Eu 0.627 0.133 0.269 1
Eu6 Eu 0.630 0.624 0.249 1
Eu7 Eu 0.867 0.373 0.731 1
Eu8 Eu 0.885 0.885 0.784 1
Mn1 Mn 0.332 0.668 0.000 1
Mn2 Mn 0.394 0.606 0.500 1
Mn3 Mn 0.728 0.272 0.000 1
Nb1 Nb 0.238 0.249 0.996 1
Nb2 Nb 0.494 0.009 0.503 1
Nb3 Nb 0.751 0.762 0.004 1
Nb4 Nb 0.991 0.506 0.497 1
Nb5 Nb 0.992 0.008 0.500 1
O1 O 0.016 0.565 0.664 1
O2 O 0.024 0.196 0.014 1
O3 O 0.025 0.001 0.668 1
O4 O 0.036 0.559 0.022 1
O5 O 0.120 0.683 0.479 1
O6 O 0.195 0.236 0.821 1
O7 O 0.248 0.709 0.843 1
O8 O 0.291 0.752 0.157 1
O9 O 0.301 0.283 0.526 1
O10 O 0.309 0.270 0.164 1
O11 O 0.317 0.880 0.521 1
O12 O 0.430 0.362 0.973 1
O13 O 0.435 0.984 0.336 1
O14 O 0.441 0.964 0.978 1
O15 O 0.467 0.494 0.363 1
O16 O 0.506 0.533 0.637 1
O17 O 0.561 0.005 0.674 1
O18 O 0.638 0.570 0.027 1
O19 O 0.717 0.699 0.474 1
O20 O 0.718 0.061 0.480 1
O21 O 0.720 0.252 0.834 1
O22 O 0.730 0.691 0.836 1
O23 O 0.748 0.280 0.166 1
O24 O 0.764 0.805 0.179 1
O25 O 0.804 0.976 0.986 1
O26 O 0.939 0.282 0.520 1
O27 O 0.995 0.439 0.326 1
O28 O 0.999 0.975 0.332 1
```

No. 3
Starting from DFT lattice parameters and positions (PBE+U), the powder X-ray diffraction pattern of EuMn2O5 was computed for Cu Kα, 1.54184 Å.
Peak positions follow from Bragg's law for the DFT cell and can differ from measured ones.

Main lines, low angle first (10 to 80 degrees two-theta):
2θ = 15.2°, I = 34
2θ = 28.2°, I = 72
2θ = 30.1°, I = 100
2θ = 33.2°, I = 38
2θ = 34.5°, I = 26
2θ = 40.5°, I = 27
2θ = 44.6°, I = 20
2θ = 54.1°, I = 25
2θ = 58.1°, I = 20
2θ = 58.5°, I = 24

```
data_EuMn2O5
_chemical_formula_sum 'Eu4 Mn8 O20'
_space_group_name_H-M_alt 'P 1'
_space_group_IT_number 1
_space_group_name_Hall 'P 1'
_cell_length_a 7.501
_cell_length_b 8.683
_cell_length_c 5.843
_cell_angle_alpha 90.00
_cell_angle_beta 90.00
_cell_angle_gamma 90.00
loop_
_atom_site_label
_atom_site_type_symbol
_atom_site_fract_x
_atom_site_fract_y
_atom_site_fract_z
_atom_site_occupancy
Eu1 Eu 0.139 0.172 0.000 1
Eu2 Eu 0.361 0.672 0.000 1
Eu3 Eu 0.639 0.328 0.000 1
Eu4 Eu 0.861 0.828 0.000 1
Mn1 Mn 0.000 0.500 0.254 1
Mn2 Mn 0.000 0.500 0.746 1
Mn3 Mn 0.090 0.850 0.500 1
Mn4 Mn 0.410 0.350 0.500 1
Mn5 Mn 0.500 0.000 0.254 1
Mn6 Mn 0.500 0.000 0.746 1
Mn7 Mn 0.590 0.650 0.500 1
Mn8 Mn 0.910 0.150 0.500 1
O1 O 0.000 0.000 0.280 1
O2 O 0.000 0.000 0.720 1
O3 O 0.103 0.706 0.248 1
O4 O 0.103 0.706 0.752 1
O5 O 0.151 0.430 0.500 1
O6 O 0.158 0.447 0.000 1
O7 O 0.342 0.947 0.000 1
O8 O 0.349 0.930 0.500 1
O9 O 0.397 0.206 0.248 1
O10 O 0.397 0.206 0.752 1
O11 O 0.500 0.500 0.280 1
O12 O 0.500 0.500 0.720 1
O13 O 0.603 0.794 0.248 1
O14 O 0.603 0.794 0.752 1
O15 O 0.651 0.070 0.500 1
O16 O 0.658 0.053 0.000 1
O17 O 0.842 0.553 0.000 1
O18 O 0.849 0.570 0.500 1
O19 O 0.897 0.294 0.248 1
O20 O 0.897 0.294 0.752 1
```

No. 4
Starting from DFT lattice parameters and positions (PBE+U), the powder X-ray diffraction pattern of Eu2Mn2O7 was computed for Cu Kα, 1.54184 Å.
Peak positions follow from Bragg's law for the DFT cell and can differ from measured ones.

Main lines, low angle first (10 to 80 degrees two-theta):
2θ = 15.1°, I = 20
2θ = 29.1°, I = 12
2θ = 30.4°, I = 100
2θ = 35.2°, I = 30
2θ = 38.5°, I = 17
2θ = 46.3°, I = 8
2θ = 50.7°, I = 47
2θ = 53.2°, I = 7
2θ = 60.3°, I = 41
2θ = 63.2°, I = 10

```
data_Eu2Mn2O7
_chemical_formula_sum 'Eu4 Mn4 O14'
_space_group_name_H-M_alt 'P 1'
_space_group_IT_number 1
_space_group_name_Hall 'P 1'
_cell_length_a 7.204
_cell_length_b 7.204
_cell_length_c 7.204
_cell_angle_alpha 60.00
_cell_angle_beta 60.00
_cell_angle_gamma 60.00
loop_
_atom_site_label
_atom_site_type_symbol
_atom_site_fract_x
_atom_site_fract_y
_atom_site_fract_z
_atom_site_occupancy
Eu1 Eu 0.000 0.000 0.000 1
Eu2 Eu 0.000 0.000 0.500 1
Eu3 Eu 0.000 0.500 0.000 1
Eu4 Eu 0.500 0.000 0.000 1
Mn1 Mn 0.000 0.500 0.500 1
Mn2 Mn 0.500 0.000 0.500 1
Mn3 Mn 0.500 0.500 0.000 1
Mn4 Mn 0.500 0.500 0.500 1
O1 O 0.125 0.125 0.125 1
O2 O 0.173 0.173 0.577 1
O3 O 0.173 0.577 0.173 1
O4 O 0.173 0.577 0.577 1
O5 O 0.423 0.423 0.827 1
O6 O 0.423 0.827 0.423 1
O7 O 0.423 0.827 0.827 1
O8 O 0.577 0.173 0.173 1
O9 O 0.577 0.173 0.577 1
O10 O 0.577 0.577 0.173 1
O11 O 0.827 0.423 0.423 1
O12 O 0.827 0.423 0.827 1
O13 O 0.827 0.827 0.423 1
O14 O 0.875 0.875 0.875 1
```

No. 5
Starting from DFT lattice parameters and positions (PBE+U), the powder X-ray diffraction pattern of Eu2Mn3Sb3O14 was computed for Cu Kα, 1.54184 Å.
Peak positions follow from Bragg's law for the DFT cell and can differ from measured ones.

Main lines, low angle first (10 to 80 degrees two-theta):
2θ = 14.9°, I = 23
2θ = 29.5°, I = 54
2θ = 30.0°, I = 100
2θ = 30.1°, I = 50
2θ = 34.6°, I = 62
2θ = 49.4°, I = 32
2θ = 49.5°, I = 16
2θ = 49.9°, I = 16
2θ = 50.2°, I = 31
2θ = 59.3°, I = 28

```
data_Eu2Mn3Sb3O14
_chemical_formula_sum 'Eu2 Mn3 Sb3 O14'
_space_group_name_H-M_alt 'P 1'
_space_group_IT_number 1
_space_group_name_Hall 'P 1'
_cell_length_a 7.271
_cell_length_b 7.271
_cell_length_c 7.362
_cell_angle_alpha 119.46
_cell_angle_beta 119.46
_cell_angle_gamma 60.31
loop_
_atom_site_label
_atom_site_type_symbol
_atom_site_fract_x
_atom_site_fract_y
_atom_site_fract_z
_atom_site_occupancy
Eu1 Eu 0.000 0.000 0.000 1
Eu2 Eu 0.000 0.000 0.500 1
Mn1 Mn 0.000 0.500 0.500 1
Mn2 Mn 0.500 0.000 0.500 1
Mn3 Mn 0.500 0.500 0.000 1
Sb1 Sb 0.000 0.500 0.000 1
Sb2 Sb 0.500 0.000 0.000 1
Sb3 Sb 0.500 0.500 0.500 1
O1 O 0.141 0.141 0.387 1
O2 O 0.169 0.169 0.920 1
O3 O 0.169 0.575 0.327 1
O4 O 0.181 0.575 0.931 1
O5 O 0.425 0.819 0.069 1
O6 O 0.425 0.831 0.673 1
O7 O 0.427 0.427 0.678 1
O8 O 0.573 0.573 0.322 1
O9 O 0.575 0.169 0.327 1
O10 O 0.575 0.181 0.931 1
O11 O 0.819 0.425 0.069 1
O12 O 0.831 0.425 0.673 1
O13 O 0.831 0.831 0.080 1
O14 O 0.859 0.859 0.613 1
```

No. 6
Starting from DFT lattice parameters and positions (PBE+U), the powder X-ray diffraction pattern of EuMoO5 was computed for Cu Kα, 1.54184 Å.
Peak positions follow from Bragg's law for the DFT cell and can differ from measured ones.

Main lines, low angle first (10 to 80 degrees two-theta):
2θ = 13.5°, I = 74
2θ = 18.9°, I = 55
2θ = 21.9°, I = 78
2θ = 25.8°, I = 34
2θ = 26.7°, I = 90
2θ = 27.0°, I = 59
2θ = 27.5°, I = 100
2θ = 30.0°, I = 42
2θ = 30.5°, I = 46
2θ = 33.0°, I = 59

```
data_EuMoO5
_chemical_formula_sum 'Eu4 Mo4 O20'
_space_group_name_H-M_alt 'P 1'
_space_group_IT_number 1
_space_group_name_Hall 'P 1'
_cell_length_a 5.539
_cell_length_b 13.148
_cell_length_c 7.126
_cell_angle_alpha 90.00
_cell_angle_beta 114.82
_cell_angle_gamma 90.00
loop_
_atom_site_label
_atom_site_type_symbol
_atom_site_fract_x
_atom_site_fract_y
_atom_site_fract_z
_atom_site_occupancy
Eu1 Eu 0.176 0.068 0.277 1
Eu2 Eu 0.176 0.432 0.777 1
Eu3 Eu 0.824 0.568 0.223 1
Eu4 Eu 0.824 0.932 0.723 1
Mo1 Mo 0.449 0.139 0.874 1
Mo2 Mo 0.449 0.361 0.374 1
Mo3 Mo 0.551 0.639 0.626 1
Mo4 Mo 0.551 0.861 0.126 1
O1 O 0.049 0.547 0.995 1
O2 O 0.049 0.953 0.495 1
O3 O 0.221 0.065 0.948 1
O4 O 0.221 0.435 0.448 1
O5 O 0.244 0.655 0.407 1
O6 O 0.244 0.845 0.907 1
O7 O 0.317 0.238 0.285 1
O8 O 0.317 0.262 0.785 1
O9 O 0.491 0.575 0.830 1
O10 O 0.491 0.925 0.330 1
O11 O 0.509 0.075 0.670 1
O12 O 0.509 0.425 0.170 1
O13 O 0.683 0.738 0.215 1
O14 O 0.683 0.762 0.715 1
O15 O 0.756 0.155 0.093 1
O16 O 0.756 0.345 0.593 1
O17 O 0.779 0.565 0.552 1
O18 O 0.779 0.935 0.052 1
O19 O 0.951 0.047 0.505 1
O20 O 0.951 0.453 0.005 1
```

No. 7
Starting from DFT lattice parameters and positions (PBE+U), the powder X-ray diffraction pattern of Eu2Mo2O7 was computed for Cu Kα, 1.54184 Å.
Peak positions follow from Bragg's law for the DFT cell and can differ from measured ones.

Main lines, low angle first (10 to 80 degrees two-theta):
2θ = 14.5°, I = 3
2θ = 29.2°, I = 100
2θ = 33.9°, I = 33
2θ = 37.0°, I = 6
2θ = 44.5°, I = 2
2θ = 48.7°, I = 46
2θ = 57.8°, I = 43
2θ = 60.6°, I = 10
2θ = 71.3°, I = 7
2θ = 78.8°, I = 18

```
data_Eu2Mo2O7
_chemical_formula_sum 'Eu4 Mo4 O14'
_space_group_name_H-M_alt 'P 1'
_space_group_IT_number 1
_space_group_name_Hall 'P 1'
_cell_length_a 7.485
_cell_length_b 7.485
_cell_length_c 7.485
_cell_angle_alpha 60.00
_cell_angle_beta 60.00
_cell_angle_gamma 60.00
loop_
_atom_site_label
_atom_site_type_symbol
_atom_site_fract_x
_atom_site_fract_y
_atom_site_fract_z
_atom_site_occupancy
Eu1 Eu 0.000 0.000 0.000 1
Eu2 Eu 0.000 0.000 0.500 1
Eu3 Eu 0.000 0.500 0.000 1
Eu4 Eu 0.500 0.000 0.000 1
Mo1 Mo 0.000 0.500 0.500 1
Mo2 Mo 0.500 0.000 0.500 1
Mo3 Mo 0.500 0.500 0.000 1
Mo4 Mo 0.500 0.500 0.500 1
O1 O 0.125 0.125 0.125 1
O2 O 0.174 0.174 0.576 1
O3 O 0.174 0.576 0.174 1
O4 O 0.174 0.576 0.576 1
O5 O 0.424 0.424 0.826 1
O6 O 0.424 0.826 0.424 1
O7 O 0.424 0.826 0.826 1
O8 O 0.576 0.174 0.174 1
O9 O 0.576 0.174 0.576 1
O10 O 0.576 0.576 0.174 1
O11 O 0.826 0.424 0.424 1
O12 O 0.826 0.424 0.826 1
O13 O 0.826 0.826 0.424 1
O14 O 0.875 0.875 0.875 1
```

No. 8
Starting from DFT lattice parameters and positions (PBE+U), the powder X-ray diffraction pattern of RbEuMo2O8 was computed for Cu Kα, 1.54184 Å.
Peak positions follow from Bragg's law for the DFT cell and can differ from measured ones.

Main lines, low angle first (10 to 80 degrees two-theta):
2θ = 13.9°, I = 19
2θ = 27.1°, I = 25
2θ = 27.3°, I = 100
2θ = 28.1°, I = 80
2θ = 29.9°, I = 40
2θ = 33.5°, I = 26
2θ = 45.6°, I = 19
2θ = 49.0°, I = 14
2θ = 50.2°, I = 13
2θ = 52.5°, I = 17

```
data_RbEuMo2O8
_chemical_formula_sum 'Rb2 Eu2 Mo4 O16'
_space_group_name_H-M_alt 'P 1'
_space_group_IT_number 1
_space_group_name_Hall 'P 1'
_cell_length_a 7.665
_cell_length_b 7.665
_cell_length_c 7.925
_cell_angle_alpha 118.15
_cell_angle_beta 118.15
_cell_angle_gamma 88.33
loop_
_atom_site_label
_atom_site_type_symbol
_atom_site_fract_x
_atom_site_fract_y
_atom_site_fract_z
_atom_site_occupancy
Rb1 Rb 0.195 0.805 0.750 1
Rb2 Rb 0.805 0.195 0.250 1
Eu1 Eu 0.229 0.771 0.250 1
Eu2 Eu 0.771 0.229 0.750 1
Mo1 Mo 0.305 0.309 0.764 1
Mo2 Mo 0.309 0.305 0.264 1
Mo3 Mo 0.691 0.695 0.736 1
Mo4 Mo 0.695 0.691 0.236 1
O1 O 0.057 0.211 0.699 1
O2 O 0.074 0.382 0.131 1
O3 O 0.211 0.057 0.199 1
O4 O 0.236 0.389 0.568 1
O5 O 0.371 0.582 0.030 1
O6 O 0.382 0.074 0.631 1
O7 O 0.389 0.236 0.068 1
O8 O 0.418 0.629 0.470 1
O9 O 0.582 0.371 0.530 1
O10 O 0.611 0.764 0.932 1
O11 O 0.618 0.926 0.369 1
O12 O 0.629 0.418 0.970 1
O13 O 0.764 0.611 0.432 1
O14 O 0.789 0.943 0.801 1
O15 O 0.926 0.618 0.869 1
O16 O 0.943 0.789 0.301 1
```

No. 9
Starting from DFT lattice parameters and positions (PBE+U), the powder X-ray diffraction pattern of EuTlMo2O8 was computed for Cu Kα, 1.54184 Å.
Peak positions follow from Bragg's law for the DFT cell and can differ from measured ones.

Main lines, low angle first (10 to 80 degrees two-theta):
2θ = 20.6°, I = 53
2θ = 24.5°, I = 63
2θ = 27.9°, I = 100
2θ = 28.7°, I = 76
2θ = 29.0°, I = 80
2θ = 34.2°, I = 27
2θ = 37.2°, I = 26
2θ = 45.2°, I = 63
2θ = 51.7°, I = 35
2θ = 53.5°, I = 25

```
data_EuTlMo2O8
_chemical_formula_sum 'Eu4 Tl4 Mo8 O32'
_space_group_name_H-M_alt 'P 1'
_space_group_IT_number 1
_space_group_name_Hall 'P 1'
_cell_length_a 5.250
_cell_length_b 18.969
_cell_length_c 8.249
_cell_angle_alpha 90.00
_cell_angle_beta 90.00
_cell_angle_gamma 90.00
loop_
_atom_site_label
_atom_site_type_symbol
_atom_site_fract_x
_atom_site_fract_y
_atom_site_fract_z
_atom_site_occupancy
Eu1 Eu 0.000 0.008 0.250 1
Eu2 Eu 0.000 0.992 0.750 1
Eu3 Eu 0.500 0.492 0.750 1
Eu4 Eu 0.500 0.508 0.250 1
Tl1 Tl 0.000 0.229 0.750 1
Tl2 Tl 0.000 0.771 0.250 1
Tl3 Tl 0.500 0.271 0.250 1
Tl4 Tl 0.500 0.729 0.750 1
Mo1 Mo 0.015 0.398 0.022 1
Mo2 Mo 0.015 0.602 0.522 1
Mo3 Mo 0.485 0.102 0.522 1
Mo4 Mo 0.485 0.898 0.022 1
Mo5 Mo 0.515 0.102 0.978 1
Mo6 Mo 0.515 0.898 0.478 1
Mo7 Mo 0.985 0.398 0.478 1
Mo8 Mo 0.985 0.602 0.978 1
O1 O 0.110 0.312 0.475 1
O2 O 0.110 0.688 0.975 1
O3 O 0.221 0.401 0.849 1
O4 O 0.221 0.599 0.349 1
O5 O 0.234 0.408 0.194 1
O6 O 0.234 0.592 0.694 1
O7 O 0.246 0.463 0.506 1
O8 O 0.246 0.537 0.006 1
O9 O 0.254 0.037 0.006 1
O10 O 0.254 0.963 0.506 1
O11 O 0.266 0.092 0.694 1
O12 O 0.266 0.908 0.194 1
O13 O 0.279 0.099 0.349 1
O14 O 0.279 0.901 0.849 1
O15 O 0.390 0.188 0.975 1
O16 O 0.390 0.812 0.475 1
O17 O 0.610 0.188 0.525 1
O18 O 0.610 0.812 0.025 1
O19 O 0.721 0.099 0.151 1
O20 O 0.721 0.901 0.651 1
O21 O 0.734 0.092 0.806 1
O22 O 0.734 0.908 0.306 1
O23 O 0.746 0.037 0.494 1
O24 O 0.746 0.963 0.994 1
O25 O 0.754 0.463 0.994 1
O26 O 0.754 0.537 0.494 1
O27 O 0.766 0.408 0.306 1
O28 O 0.766 0.592 0.806 1
O29 O 0.779 0.401 0.651 1
O30 O 0.779 0.599 0.151 1
O31 O 0.890 0.312 0.025 1
O32 O 0.890 0.688 0.525 1
```